# B5C7
Theoretical X-ray diffraction stick pattern, Cu Kα. Input: a PBE-relaxed structure.
Intensities are scaled so that the largest is 100.

The 8 most intense peaks (15° ≤ 2θ ≤ 90°), by angle:
2θ/deg, I_rel
20.2, 17
23.7, 30
26.6, 17
41.0, 48
42.0, 100
42.5, 51
70.6, 30
72.6, 20

Atomic structure:
```
B5C7
1.0
2.2440 -3.9589 0.0000
2.2440 3.9589 0.0000
-1.4794 0.0000 4.4021
B C
5 7
Direct
0.0000 0.0000 0.0000
0.3244 0.7124 0.9956
0.5580 0.5580 0.5556
0.6175 0.6175 0.2060
0.7124 0.3244 0.9956
0.0616 0.7470 0.1716
0.2169 0.8841 0.5230
0.2374 0.5882 0.6369
0.5882 0.2374 0.6369
0.7470 0.0616 0.1716
0.8841 0.2169 0.5230
0.9498 0.9498 0.6484
```